DyTlBr4: simulated powder diffraction line list (λ = 1.5418 Å (Cu Kα)), based on a crystal structure in Alexandria, relaxed with GGA-PBE.
Intensities are scaled so that the largest is 100.

Cell and atoms:
```
data_DyTlBr4
_chemical_formula_sum 'Dy1 Tl1 Br4'
_cell_length_a 4.271
_cell_length_b 7.147
_cell_length_c 8.423
_cell_angle_alpha 78.23
_cell_angle_beta 90.00
_cell_angle_gamma 72.73
_space_group_name_H-M_alt 'P -1'
_space_group_IT_number 2
_space_group_name_Hall '-P 1'
loop_
_atom_site_label
_atom_site_type_symbol
_atom_site_fract_x
_atom_site_fract_y
_atom_site_fract_z
_atom_site_occupancy
Dy1 Dy 0.000 0.000 0.000 1
Tl1 Tl 0.500 0.000 0.500 1
Br1 Br 0.119 0.760 0.309 1
Br2 Br 0.384 0.233 0.093 1
```

Main lines, by angle (2θ = 15–90°):
- 21.6 deg, I = 22
- 23.8 deg, I = 54
- 27.8 deg, I = 49
- 29.4 deg, I = 100
- 32.5 deg, I = 20
- 38.4 deg, I = 33
- 40.9 deg, I = 17
- 42.3 deg, I = 20
- 43.4 deg, I = 34
- 51.4 deg, I = 18